Entry 1:
The following is a theoretical powder diffraction line list of BeHCl. It was derived from a PBE-relaxed structure, using Cu Kα.
Neutral-atom scattering factors, no anomalous dispersion.

Crystal structure
```
data_BeHCl
_chemical_formula_sum 'Be2 H2 Cl2'
_symmetry_space_group_name_H-M 'P 1'
_symmetry_Int_Tables_number 1
_symmetry_space_group_name_Hall 'P 1'
_cell_length_a 5.2385
_cell_length_b 5.2385
_cell_length_c 5.2385
_cell_angle_alpha 133.33
_cell_angle_beta 113.47
_cell_angle_gamma 85.15
loop_
_atom_site_label
_atom_site_type_symbol
_atom_site_fract_x
_atom_site_fract_y
_atom_site_fract_z
_atom_site_occupancy
Be1 Be 0.1452 0.3952 0.7500 1
Be2 Be 0.3548 0.1048 0.2500 1
H1 H 0.1458 0.2500 0.3958 1
H2 H 0.3542 0.7500 0.1042 1
Cl1 Cl 0.2500 0.0345 0.7845 1
Cl2 Cl 0.7500 0.4655 0.7155 1
```

Most intense lines, 2θ from 10° to 80°, sorted by position:
d [Å], I (rel.)
3.858, 666
3.364, 1000
2.873, 230
2.535, 965
2.304, 378
1.673, 205


Entry 2:
The following is a theoretical powder diffraction line list of Cs2TiTc. It was derived from a PBE-relaxed structure, using Cu Kα.
Neutral-atom scattering factors, no anomalous dispersion.

Crystal structure
```
data_Cs2TiTc
_chemical_formula_sum 'Cs4 Ti2 Tc2'
_symmetry_space_group_name_H-M 'P 1'
_symmetry_Int_Tables_number 1
_symmetry_space_group_name_Hall 'P 1'
_cell_length_a 10.1224
_cell_length_b 10.1224
_cell_length_c 10.1224
_cell_angle_alpha 92.83
_cell_angle_beta 92.83
_cell_angle_gamma 154.34
loop_
_atom_site_label
_atom_site_type_symbol
_atom_site_fract_x
_atom_site_fract_y
_atom_site_fract_z
_atom_site_occupancy
Cs1 Cs 0.3750 0.1628 0.2878 1
Cs2 Cs 0.8372 0.1250 0.2122 1
Cs3 Cs 0.8750 0.0872 0.7122 1
Cs4 Cs 0.9128 0.6250 0.7878 1
Ti1 Ti 0.2500 0.7500 0.5000 1
Ti2 Ti 0.5000 0.5000 0.0000 1
Tc1 Tc 0.0000 0.0000 0.0000 1
Tc2 Tc 0.7500 0.2500 0.5000 1
```

Most intense lines, 2θ from 10° to 80°, sorted by position:
d [Å], I (rel.)
6.979, 772
4.279, 700
3.648, 405
3.489, 1000
3.121, 425
2.704, 608